No. 1
Structure and calculated powder diffractogram of FeH6Pd5 (the GGA-PBE geometry in Alexandria; λ = 1.5418 Å (Cu Kα)).
Neutral-atom scattering factors, no anomalous dispersion.

Cell and atoms:
Cell: 5.010 5.012 5.020 Å, 60.12 70.84 80.43°
Fractional positions:
Fe: 0.000 0.000 0.000
H: 0.236 0.321 0.595
H: 0.245 0.685 0.904
H: 0.265 0.004 0.241
H: 0.735 0.996 0.759
H: 0.755 0.315 0.096
H: 0.764 0.679 0.405
Pd: 0.000 0.337 0.331
Pd: 0.000 0.663 0.669
Pd: 0.500 0.000 0.500
Pd: 0.500 0.322 0.839
Pd: 0.500 0.678 0.161

The 6 most intense peaks (15° ≤ 2θ ≤ 90°), sorted by position:
| (hkl) | 2θ (°) | d_spacing | I (rel.) |
| --- | --- | --- | --- |
| 0 1 2 | 37.95 | 2.371 | 34 |
| 2 0 0 | 38.06 | 2.364 | 100 |
| 1 1 -1 | 44.03 | 2.057 | 23 |
| 2 1 2 | 44.29 | 2.045 | 45 |
| 3 2 1 | 64.34 | 1.448 | 21 |
| 4 1 2 | 77.42 | 1.233 | 12 |

No. 2
Structure and calculated powder diffractogram of NbCr3Cu2S8 (the GGA-PBE geometry in Alexandria; λ = 1.5418 Å (Cu Kα)).
Neutral-atom scattering factors, no anomalous dispersion.

Cell and atoms:
Cell: 7.134 9.925 6.941 Å, 90.00 90.00 90.00°
Fractional positions:
Nb: 0.012 0.000 0.000
Nb: 0.988 0.000 0.500
Cr: 0.249 0.247 0.247
Cr: 0.249 0.753 0.753
Cr: 0.499 0.500 0.500
Cr: 0.501 0.500 0.000
Cr: 0.751 0.247 0.253
Cr: 0.751 0.753 0.747
Cu: 0.000 0.390 0.750
Cu: 0.000 0.610 0.250
Cu: 0.500 0.137 0.750
Cu: 0.500 0.863 0.250
S: 0.003 0.249 0.488
S: 0.003 0.751 0.512
S: 0.250 0.003 0.253
S: 0.250 0.997 0.747
S: 0.269 0.488 0.249
S: 0.269 0.512 0.751
S: 0.499 0.260 0.479
S: 0.499 0.740 0.521
S: 0.501 0.260 0.021
S: 0.501 0.740 0.979
S: 0.731 0.488 0.251
S: 0.731 0.512 0.749
S: 0.750 0.003 0.247
S: 0.750 0.997 0.753
S: 0.997 0.249 0.012
S: 0.997 0.751 0.988

The 6 most intense peaks (15° ≤ 2θ ≤ 90°), sorted by position:
| (hkl) | 2θ (°) | d_spacing | I (rel.) |
| --- | --- | --- | --- |
| 1 2 1 | 25.35 | 3.513 | 37 |
| 2 1 1 | 29.56 | 3.022 | 51 |
| 1 3 0 | 29.77 | 3.001 | 35 |
| 1 1 2 | 29.99 | 2.980 | 100 |
| 0 4 0 | 36.14 | 2.485 | 80 |
| 2 4 2 | 52.06 | 1.757 | 98 |

Please write out number 1 again, unchanged.
Structure and calculated powder diffractogram of FeH6Pd5 (the GGA-PBE geometry in Alexandria; λ = 1.5418 Å (Cu Kα)).
Neutral-atom scattering factors, no anomalous dispersion.

Cell and atoms:
Cell: 5.010 5.012 5.020 Å, 60.12 70.84 80.43°
Fractional positions:
Fe: 0.000 0.000 0.000
H: 0.236 0.321 0.595
H: 0.245 0.685 0.904
H: 0.265 0.004 0.241
H: 0.735 0.996 0.759
H: 0.755 0.315 0.096
H: 0.764 0.679 0.405
Pd: 0.000 0.337 0.331
Pd: 0.000 0.663 0.669
Pd: 0.500 0.000 0.500
Pd: 0.500 0.322 0.839
Pd: 0.500 0.678 0.161

The 6 most intense peaks (15° ≤ 2θ ≤ 90°), sorted by position:
| (hkl) | 2θ (°) | d_spacing | I (rel.) |
| --- | --- | --- | --- |
| 0 1 2 | 37.95 | 2.371 | 34 |
| 2 0 0 | 38.06 | 2.364 | 100 |
| 1 1 -1 | 44.03 | 2.057 | 23 |
| 2 1 2 | 44.29 | 2.045 | 45 |
| 3 2 1 | 64.34 | 1.448 | 21 |
| 4 1 2 | 77.42 | 1.233 | 12 |